Diffraction record for Ba4Nd4Ti3MnCu4O22. The XRD peak list is simulated, not measured: it uses a GGA+U-relaxed structure and λ = 1.5418 Å (Cu Kα).

Largest 8 diffraction maxima, by angle, 10 to 90 degrees two-theta:
| (hkl) | 2θ/deg | I (rel.) |
| --- | --- | --- |
| 1 1 0 | 22.64 | 15.5 |
| 1 1 4 | 31.91 | 100.0 |
| 2 0 0 | 32.24 | 48.4 |
| 2 0 4 | 39.48 | 24.3 |
| 2 2 0 | 46.24 | 32.0 |
| 2 0 8 | 56.66 | 16.0 |
| 3 1 4 | 57.28 | 37.3 |
| 2 2 8 | 66.70 | 12.6 |

Unit cell a=5.5537 b=5.5537 c=16.0263 alpha=90.00 beta=90.00 gamma=90.00
Space group P4mm (No. 99)
Asymmetric unit:
Ba: 0.0000 0.5000 0.0000 x2
Ba: 0.0000 0.5000 0.4702 x2
Nd: 0.0000 0.5000 0.2356 x2
Nd: 0.0000 0.5000 0.7388 x2
Ti: 0.0000 0.0000 0.6122 x1
Ti: 0.0000 0.0000 0.8631 x1
Ti: 0.5000 0.5000 0.6124 x1
Mn: 0.5000 0.5000 0.8602 x1
Cu: 0.0000 0.0000 0.1290 x1
Cu: 0.0000 0.0000 0.3424 x1
Cu: 0.5000 0.5000 0.1284 x1
Cu: 0.5000 0.5000 0.3420 x1
O: 0.0000 0.0000 0.4962 x1
O: 0.0000 0.0000 0.7388 x1
O: 0.0000 0.0000 0.9786 x1
O: 0.2502 0.2502 0.1408 x4
O: 0.2502 0.2502 0.3323 x4
O: 0.2500 0.2500 0.6260 x4
O: 0.2526 0.2526 0.8498 x4
O: 0.5000 0.5000 0.4969 x1
O: 0.5000 0.5000 0.7397 x1
O: 0.5000 0.5000 0.9771 x1

=====

Diffraction record for BaNd2CuMo4O16. The XRD peak list is simulated, not measured: it uses a GGA+U-relaxed structure and λ = 1.5418 Å (Cu Kα).

Largest 8 diffraction maxima, by angle, 10 to 90 degrees two-theta:
| (hkl) | 2θ/deg | I (rel.) |
| --- | --- | --- |
| 1 1 -4 | 24.94 | 40.6 |
| 1 1 4 | 26.06 | 40.5 |
| 1 3 -1 | 26.74 | 27.6 |
| 1 3 1 | 27.00 | 37.5 |
| 1 3 -2 | 27.76 | 46.6 |
| 1 1 -5 | 28.32 | 100.0 |
| 1 1 5 | 29.58 | 48.4 |
| 2 0 0 | 33.35 | 38.5 |

Unit cell a=5.3794 b=12.9562 c=19.6797 alpha=90.00 beta=92.66 gamma=90.00
Space group C2/c (No. 15)
Asymmetric unit:
Ba: 0.0000 0.0289 0.2500 x4
Nd: 0.0043 0.1434 0.0322 x8
Cu: 0.0000 0.3180 0.2500 x4
Mo: 0.0111 0.2595 0.6498 x8
Mo: 0.0181 0.4395 0.0955 x8
O: 0.1149 0.4214 0.3212 x8
O: 0.1316 0.1430 0.8245 x8
O: 0.1568 0.3309 0.0449 x8
O: 0.1712 0.2391 0.5703 x8
O: 0.2370 0.3528 0.8625 x8
O: 0.2433 0.2930 0.7153 x8
O: 0.2442 0.0211 0.5382 x8
O: 0.2447 0.4551 0.6087 x8

=====

Question: Number 1 is which compound?
Answer: Ba4Nd4Ti3MnCu4O22